Record 1
Simulated X-ray powder pattern of BaNi4Ir3S12 for Cu Kα (weighted mean of Kα1 and Kα2), from a PBE-relaxed structure.
Intensities are scaled so that the largest is 100.

Largest 10 diffraction maxima, in order of rising 2θ, 2θ = 15–90°:
Position (°2θ)  I (rel.)
19.35  51
23.53  65
26.71  69
28.25  100
30.29  31
36.79  43
45.30  40
49.22  29
50.94  28
51.30  34

Cell and atoms:
abc: 8.107 8.107 8.107
angles: 110.84 110.84 110.84
Positions (direct):
Ba: 0.000 0.000 0.000
Ni: 0.058 0.500 0.942
Ni: 0.500 0.500 0.500
Ni: 0.500 0.942 0.058
Ni: 0.942 0.058 0.500
Ir: 0.000 0.552 0.448
Ir: 0.448 0.000 0.552
Ir: 0.552 0.448 0.000
S: 0.109 0.891 0.500
S: 0.131 0.683 0.795
S: 0.205 0.317 0.869
S: 0.317 0.869 0.205
S: 0.343 0.657 0.500
S: 0.500 0.109 0.891
S: 0.500 0.343 0.657
S: 0.657 0.500 0.343
S: 0.683 0.795 0.131
S: 0.795 0.131 0.683
S: 0.869 0.205 0.317
S: 0.891 0.500 0.109

Record 2
Simulated X-ray powder pattern of Ba2Zn6NiIr for Cu Kα (weighted mean of Kα1 and Kα2), from a PBE-relaxed structure.
Intensities are scaled so that the largest is 100.

Largest 10 diffraction maxima, in order of rising 2θ, 2θ = 15–90°:
Position (°2θ)  I (rel.)
18.43  27
25.89  28
26.37  67
26.46  32
30.37  36
30.51  70
32.31  32
37.28  50
37.40  100
54.43  38

Cell and atoms:
abc: 6.738 6.748 6.834
angles: 60.94 60.92 60.27
Positions (direct):
Ba: 0.214 0.214 0.350
Ba: 0.786 0.786 0.650
Zn: 0.256 0.257 0.800
Zn: 0.260 0.683 0.804
Zn: 0.317 0.739 0.196
Zn: 0.683 0.261 0.804
Zn: 0.740 0.317 0.196
Zn: 0.744 0.743 0.200
Ni: 0.500 0.500 0.500
Ir: 0.000 0.000 0.000